Record 1
For Ho3Tm2Tl, DFT lattice parameters and positions (GGA-PBE) gives the calculated X-ray powder pattern in this record (Cu Kα (weighted mean of Kα1 and Kα2)).
Intensities are scaled so that the largest is 100.

Crystal structure
```
6
Lattice="2.4226 -7.4717 0.0000 2.4226 7.4717 0.0000 0.0000 0.0000 4.8124" Properties=species:S:1:pos:R:3 pbc="T T T"
Ho 0.0000 0.0000 0.0000
Ho 2.4226 2.5374 0.0000
Ho 2.4226 -2.5374 0.0000
Tm 2.4226 5.0268 2.4062
Tm 2.4226 -5.0268 2.4062
Tl 2.4226 0.0000 2.4062
```

The 10 most intense peaks (15° ≤ 2θ ≤ 90°), sorted by position:
31.8°, 2.816 Å, intensity 100.0; 36.1°, 2.491 Å, intensity 17.7; 37.1°, 2.423 Å, intensity 16.6; 37.4°, 2.406 Å, intensity 16.2; 52.7°, 1.737 Å, intensity 12.1; 52.9°, 1.730 Å, intensity 12.0; 62.2°, 1.493 Å, intensity 14.6; 63.6°, 1.464 Å, intensity 13.9; 63.9°, 1.456 Å, intensity 13.7; 66.4°, 1.408 Å, intensity 12.1



Record 2
For Ho2Tm3Tl7, DFT lattice parameters and positions (GGA-PBE) gives the calculated X-ray powder pattern in this record (Cu Kα (weighted mean of Kα1 and Kα2)).
Intensities are scaled so that the largest is 100.

Crystal structure
```
12
Lattice="2.6252 -12.8400 0.0000 2.6252 12.8400 0.0000 0.0000 0.0000 5.3316" Properties=species:S:1:pos:R:3 pbc="T T T"
Ho 2.6252 8.9078 0.0000
Ho 2.6252 -8.9078 0.0000
Tm 2.6252 3.8553 2.6658
Tm 2.6252 0.0000 2.6658
Tm 2.6252 -3.8553 2.6658
Tl 0.0000 0.0000 0.0000
Tl 2.6252 10.7493 2.6658
Tl 2.6252 5.6444 0.0000
Tl 2.6252 1.9364 0.0000
Tl 2.6252 -1.9364 0.0000
Tl 2.6252 -5.6444 0.0000
Tl 2.6252 -10.7493 2.6658
```

The 10 most intense peaks (15° ≤ 2θ ≤ 90°), sorted by position:
29.5°, 3.024 Å, intensity 12.3; 33.6°, 2.666 Å, intensity 22.6; 34.2°, 2.621 Å, intensity 100.0; 48.7°, 1.870 Å, intensity 16.2; 60.5°, 1.530 Å, intensity 15.5; 61.2°, 1.515 Å, intensity 15.0; 61.3°, 1.511 Å, intensity 5.5; 61.7°, 1.504 Å, intensity 5.4; 72.1°, 1.310 Å, intensity 6.9; 81.5°, 1.181 Å, intensity 6.7



Record 3
For Ho4Tm2Tl, DFT lattice parameters and positions (GGA-PBE) gives the calculated X-ray powder pattern in this record (Cu Kα (weighted mean of Kα1 and Kα2)).
Intensities are scaled so that the largest is 100.

Crystal structure
```
28
Lattice="3.5645 0.0000 0.0000 0.0000 20.3597 0.0000 -1.5223 0.0000 11.5824" Properties=species:S:1:pos:R:3 pbc="T T T"
Ho 0.0224 4.3751 0.1067
Ho -0.7388 5.8047 5.8979
Ho 1.0415 10.2492 1.5453
Ho 0.2803 20.2903 7.3365
Ho 1.0178 11.6745 4.5996
Ho 0.2566 18.8650 10.3908
Ho 0.5500 4.1670 8.5904
Ho 1.3111 6.0129 2.7992
Ho 0.7310 14.3468 8.7832
Ho 1.4922 16.1927 2.9920
Ho 1.7855 1.4946 1.1916
Ho 1.0243 8.6852 6.9828
Ho 1.7618 0.0693 4.2459
Ho 1.0007 10.1105 10.0371
Ho 2.7809 14.5549 5.6845
Ho 2.0197 15.9846 11.4757
Tm -0.8294 11.6729 7.4989
Tm -0.0682 18.8666 1.7077
Tm -0.0601 3.1052 3.6944
Tm -0.8212 7.0747 9.4856
Tm 2.8634 13.2850 2.0968
Tm 2.1022 17.2545 7.8880
Tm 2.1103 1.4931 9.8747
Tm 2.8715 8.6868 4.0835
Tl -0.8544 12.6757 10.9220
Tl -0.0933 17.8638 5.1308
Tl 2.1354 2.4958 6.4516
Tl 2.8966 7.6840 0.6604
```

The 10 most intense peaks (15° ≤ 2θ ≤ 90°), sorted by position:
30.9°, 2.890 Å, intensity 34.6; 31.2°, 2.867 Å, intensity 23.5; 31.7°, 2.822 Å, intensity 100.0; 31.9°, 2.802 Å, intensity 48.7; 32.1°, 2.785 Å, intensity 60.9; 32.6°, 2.748 Å, intensity 69.4; 33.0°, 2.714 Å, intensity 39.7; 33.2°, 2.695 Å, intensity 55.3; 34.7°, 2.584 Å, intensity 26.1; 35.2°, 2.548 Å, intensity 55.1



Record 4
For Ho3Tm3Tl, DFT lattice parameters and positions (GGA-PBE) gives the calculated X-ray powder pattern in this record (Cu Kα (weighted mean of Kα1 and Kα2)).
Intensities are scaled so that the largest is 100.

Crystal structure
```
14
Lattice="9.3072 0.0000 0.0000 -4.6536 8.0602 0.0000 0.0000 0.0000 5.4898" Properties=species:S:1:pos:R:3 pbc="T T T"
Ho -3.2285 6.6254 1.3725
Ho 0.5301 1.9516 1.3725
Ho 1.9552 0.5167 4.1174
Ho 2.6984 7.5435 1.3725
Ho 4.1235 6.1086 4.1174
Ho 7.8821 1.4349 4.1174
Tm -1.9227 5.0416 4.1174
Tm 1.2487 3.8743 4.1174
Tm 3.9797 0.8557 1.3725
Tm 0.6739 7.2045 4.1174
Tm 3.4048 4.1859 1.3725
Tm 6.5763 3.0186 1.3725
Tl 0.0000 5.3735 1.3725
Tl 4.6536 2.6867 4.1174
```

The 10 most intense peaks (15° ≤ 2θ ≤ 90°), sorted by position:
29.3°, 3.046 Å, intensity 23.6; 32.6°, 2.745 Å, intensity 24.3; 33.6°, 2.664 Å, intensity 100.0; 44.4°, 2.039 Å, intensity 15.4; 52.0°, 1.759 Å, intensity 18.5; 58.9°, 1.569 Å, intensity 20.4; 62.7°, 1.481 Å, intensity 21.1; 63.4°, 1.468 Å, intensity 15.0; 82.4°, 1.171 Å, intensity 7.3; 86.3°, 1.127 Å, intensity 12.2



Record 5
For Ho7TmTl2, DFT lattice parameters and positions (GGA-PBE) gives the calculated X-ray powder pattern in this record (Cu Kα (weighted mean of Kα1 and Kα2)).
Intensities are scaled so that the largest is 100.

Crystal structure
```
10
Lattice="4.5659 -7.7939 0.0000 4.5659 7.7939 0.0000 0.0000 0.0000 5.2389" Properties=species:S:1:pos:R:3 pbc="T T T"
Ho 0.0000 0.0000 0.0000
Ho 2.9067 1.8553 0.0000
Ho 4.5659 3.4806 2.6194
Ho 2.9067 -1.8553 0.0000
Ho 6.2250 1.8553 0.0000
Ho 4.5659 -3.4806 2.6194
Ho 6.2250 -1.8553 0.0000
Tm 4.5659 0.0000 2.6194
Tl 4.5659 4.7838 0.0000
Tl 4.5659 -4.7838 0.0000
```

The 10 most intense peaks (15° ≤ 2θ ≤ 90°), sorted by position:
16.9°, 5.239 Å, intensity 54.0; 19.4°, 4.566 Å, intensity 30.0; 20.4°, 4.362 Å, intensity 29.4; 28.5°, 3.127 Å, intensity 43.2; 30.2°, 2.964 Å, intensity 58.9; 34.2°, 2.621 Å, intensity 67.5; 34.6°, 2.595 Å, intensity 71.4; 34.9°, 2.571 Å, intensity 100.0; 46.3°, 1.963 Å, intensity 36.6; 61.5°, 1.509 Å, intensity 41.5



Record 6
For YHoTmTl, DFT lattice parameters and positions (GGA-PBE) gives the calculated X-ray powder pattern in this record (Cu Kα (weighted mean of Kα1 and Kα2)).
Intensities are scaled so that the largest is 100.

Crystal structure
```
4
Lattice="4.8171 0.0000 0.0000 0.0000 4.8319 0.0000 0.0000 0.0000 4.8417" Properties=species:S:1:pos:R:3 pbc="T T T"
Y 0.0000 0.0000 0.0000
Ho 2.4085 0.0000 2.4208
Tm 0.0000 2.4160 2.4208
Tl 2.4085 2.4160 0.0000
```

The 10 most intense peaks (15° ≤ 2θ ≤ 90°), sorted by position:
32.1°, 2.789 Å, intensity 100.0; 37.2°, 2.418 Å, intensity 33.7; 37.3°, 2.409 Å, intensity 16.7; 53.6°, 1.709 Å, intensity 23.6; 53.7°, 1.706 Å, intensity 11.7; 63.8°, 1.459 Å, intensity 14.0; 63.9°, 1.457 Å, intensity 13.9; 64.1°, 1.453 Å, intensity 13.8; 67.1°, 1.394 Å, intensity 12.0; 88.2°, 1.107 Å, intensity 12.0